1.
The following is a calculated X-ray powder pattern of TbSmDyTh. It was derived from DFT lattice parameters and positions (PBE), using a wavelength of 1.5418 Å.

Most intense lines, 2θ from 10° to 90°, low angle first:
2θ/deg, I/Imax, index
30.59, 100, 1 0 2
35.46, 51, 1 1 0
51.02, 36, 2 0 0
60.67, 43, 2 1 2
63.67, 12, 2 0 4
75.05, 6, 2 2 0
83.18, 18, 3 0 2
85.85, 17, 3 1 0

Structural model:
a b c (Å): 3.5790 3.5790 10.1299
angles (deg): 90.00 90.00 90.00
Space group P4mm (No. 99)
Symmetry-distinct sites (fractional):
Tb 0.0000 0.0000 0.0000 [1 per cell]
Sm 0.5000 0.5000 0.7413 [1 per cell]
Dy 0.0000 0.0000 0.4844 [1 per cell]
Th 0.5000 0.5000 0.2427 [1 per cell]

=====

2.
The following is a calculated X-ray powder pattern of Ba2Hg3. It was derived from DFT lattice parameters and positions (PBE), using a wavelength of 1.5418 Å.

Most intense lines, 2θ from 10° to 90°, low angle first:
2θ/deg, I/Imax, index
20.33, 34, 1 1 0
27.90, 100, 1 3 1
28.23, 49, 1 7 0
33.16, 90, 0 10 1
34.70, 44, 0 0 2
37.00, 29, 1 9 1
40.92, 28, 2 0 0
53.64, 38, 2 10 1

Structural model:
a b c (Å): 4.4107 31.7071 5.1703
angles (deg): 90.00 90.00 90.00
Space group Cmcm (No. 63)
Symmetry-distinct sites (fractional):
Ba 0.0000 0.0706 0.2500 [4 per cell]
Ba 0.0000 0.2036 0.7500 [4 per cell]
Hg 0.0000 0.3248 0.7500 [4 per cell]
Hg 0.0000 0.3817 0.2500 [4 per cell]
Hg 0.0000 0.4761 0.2500 [4 per cell]

=====

3.
The following is a calculated X-ray powder pattern of Ba2CuS3. It was derived from DFT lattice parameters and positions (PBE), using a wavelength of 1.5418 Å.

Most intense lines, 2θ from 10° to 90°, low angle first:
2θ/deg, I/Imax, index
20.05, 38, 0 2 2
22.74, 16, 0 0 4
29.25, 100, 2 2 2
31.20, 38, 2 0 4
33.35, 16, 0 4 0
38.38, 21, 0 2 6
39.76, 14, 2 4 0
40.75, 17, 0 4 4

Structural model:
a b c (Å): 8.4295 10.7461 15.6398
angles (deg): 90.00 90.00 90.00
Space group Fmmm (No. 69)
Symmetry-distinct sites (fractional):
Ba 0.2389 0.0000 0.0000 [8 per cell]
Ba 0.2500 0.2500 0.2500 [8 per cell]
Cu 0.0000 0.0000 0.2042 [8 per cell]
S 0.0000 0.0000 0.3421 [8 per cell]
S 0.0000 0.1606 0.1145 [16 per cell]

=====

4.
The following is a calculated X-ray powder pattern of Cs4Ac3HfO8. It was derived from DFT lattice parameters and positions (PBE), using a wavelength of 1.5418 Å.

Most intense lines, 2θ from 10° to 90°, low angle first:
2θ/deg, I/Imax, index
12.65, 21, 0 0 3
25.46, 48, 0 0 6
28.57, 99, 2 0 2
32.23, 100, 0 2 4
44.25, 37, 2 0 8
48.15, 33, 2 2 0
51.74, 24, 0 2 10
55.25, 36, 2 2 6

Structural model:
a b c (Å): 7.5589 7.5589 20.9882
angles (deg): 90.00 90.00 120.00
Space group R-3m (No. 166, hexagonal axes)
Symmetry-distinct sites (fractional):
Cs 0.0000 0.0000 0.0000 [3 per cell]
Cs 0.0000 0.5000 0.0000 [9 per cell]
Ac 0.0000 0.5000 0.5000 [9 per cell]
Hf 0.0000 0.0000 0.5000 [3 per cell]
O 0.0000 0.0000 0.2220 [6 per cell]
O 0.0471 0.5235 0.2196 [18 per cell]